Entry 1:
Structure and computed X-ray diffraction stick pattern of K7Fe5O16 (the GGA+U geometry in the Materials Project; λ = 1.5418 Å (Cu Kα)).
Lines closer than 0.1° are merged.

Crystal structure
```
K7Fe5O16
1.0
9.649 0.000 0.000
0.000 5.673 0.000
-0.199 0.000 10.801
K Fe O
7 5 16
Cartesian
0.000 0.000 0.000 K
-0.019 2.836 8.103 K
1.296 2.836 3.501 K
4.502 0.000 2.752 K
4.899 2.836 6.149 K
5.781 2.836 10.507 K
8.023 0.000 5.194 K
2.343 2.836 0.053 Fe
2.519 0.000 5.614 Fe
3.195 0.000 9.096 Fe
6.690 0.000 8.721 Fe
7.037 2.836 3.597 Fe
0.864 2.836 0.897 O
0.878 0.000 5.723 O
2.123 1.407 9.686 O
2.123 4.266 9.686 O
3.047 1.332 4.783 O
3.047 4.341 4.783 O
3.212 0.000 7.204 O
3.619 2.836 1.171 O
4.959 0.000 9.599 O
6.179 1.509 4.104 O
6.179 4.164 4.104 O
6.274 0.000 7.113 O
7.228 2.836 1.968 O
7.634 1.337 9.173 O
7.634 4.336 9.173 O
8.500 2.836 4.412 O
```

Most intense lines, 2θ from 10° to 80°, most intense first:
2θ (°)	I (rel.)
31.54	100
17.66	99
16.41	96
25.72	90
24.67	90
25.49	82
24.46	77
29.38	76
34.63	52
18.39	46

Entry 2:
Structure and computed X-ray diffraction stick pattern of Gd2W2O9 (the GGA+U geometry in the Materials Project; λ = 1.5418 Å (Cu Kα)).
Lines closer than 0.1° are merged.

Crystal structure
```
Gd2W2O9
1.0
5.951 -7.856 0.000
5.951 7.856 0.000
0.000 0.000 7.251
Gd W O
8 8 36
Cartesian
3.150 2.274 7.226 Gd
5.951 4.315 5.439 Gd
5.951 4.251 1.813 Gd
3.150 -2.274 0.026 Gd
8.752 2.274 3.651 Gd
5.951 -4.251 5.439 Gd
5.951 -4.315 1.813 Gd
8.752 -2.274 3.600 Gd
0.535 0.000 0.000 W
3.238 1.919 3.604 W
3.238 -1.919 3.647 W
5.951 -0.005 1.813 W
5.951 0.005 5.439 W
8.663 1.919 0.021 W
8.663 -1.919 7.230 W
11.366 0.000 3.626 W
5.951 7.778 5.439 O
2.156 2.335 2.145 O
2.177 2.363 5.066 O
5.584 5.969 3.563 O
4.112 3.643 3.600 O
6.317 5.969 0.063 O
2.362 0.000 0.000 O
4.997 3.308 7.225 O
2.687 0.000 3.626 O
4.647 1.363 2.234 O
4.643 1.342 4.985 O
2.156 -2.335 5.106 O
2.177 -2.363 2.185 O
6.904 3.308 3.652 O
7.789 3.643 0.026 O
5.259 0.000 0.000 O
4.643 -1.342 2.267 O
4.647 -1.363 5.018 O
7.254 1.363 1.392 O
7.258 1.342 5.892 O
6.643 0.000 3.626 O
4.112 -3.643 3.652 O
4.997 -3.308 0.026 O
9.725 2.363 5.811 O
9.745 2.335 1.480 O
7.258 -1.342 1.359 O
7.254 -1.363 5.859 O
9.214 0.000 0.000 O
6.904 -3.308 3.600 O
9.539 0.000 3.626 O
5.584 -5.969 3.689 O
7.789 -3.643 7.225 O
6.317 -5.969 7.188 O
9.725 -2.363 1.440 O
9.745 -2.335 5.771 O
5.951 -7.778 1.813 O
```

Most intense lines, 2θ from 10° to 80°, most intense first:
2θ (°)	I (rel.)
27.20	100
28.83	55
45.71	34
30.03	33
30.92	32
58.15	24
33.64	24
26.28	18
50.33	15
48.97	13

Entry 3:
Structure and computed X-ray diffraction stick pattern of Ba2LaMn2O7 (the GGA+U geometry in the Materials Project; λ = 1.5418 Å (Cu Kα)).
Lines closer than 0.1° are merged.

Crystal structure
```
Ba2LaMn2O7
1.0
-1.969 2.033 10.478
1.969 -2.033 10.478
1.969 2.033 -10.478
Ba La Mn O
2 1 2 7
Cartesian
0.000 0.000 3.804 Ba
0.000 0.000 17.152 Ba
0.000 0.000 0.000 La
0.000 0.000 8.527 Mn
0.000 0.000 12.428 Mn
1.969 0.000 1.812 O
0.000 0.000 6.576 O
1.969 0.000 8.674 O
0.000 0.000 10.478 O
0.000 2.033 1.804 O
0.000 0.000 14.380 O
0.000 2.033 8.666 O
```

Most intense lines, 2θ from 10° to 80°, most intense first:
2θ (°)	I (rel.)
31.63	100
30.64	78
31.17	74
41.06	51
44.58	30
55.39	29
56.37	28
46.10	27
54.50	19
25.50	18

Entry 4:
Structure and computed X-ray diffraction stick pattern of Li7Mn5O12 (the GGA+U geometry in the Materials Project; λ = 1.5418 Å (Cu Kα)).
Lines closer than 0.1° are merged.

Crystal structure
```
Li7Mn5O12
1.0
5.837 0.000 0.000
-0.017 8.625 0.000
-0.056 -2.831 8.753
Li Mn O
14 10 24
Cartesian
0.000 0.000 0.000 Li
0.010 2.876 0.189 Li
1.431 -1.394 6.590 Li
1.430 1.479 6.509 Li
1.477 1.470 2.222 Li
1.438 4.326 6.550 Li
2.855 0.056 4.405 Li
2.882 2.897 4.376 Li
2.909 5.738 4.348 Li
4.326 1.468 2.202 Li
4.287 4.324 6.531 Li
4.334 4.315 2.244 Li
4.333 7.189 2.163 Li
5.753 2.918 8.564 Li
-0.037 2.897 4.376 Mn
-0.023 0.023 4.307 Mn
1.448 7.222 2.188 Mn
1.468 4.301 2.243 Mn
2.907 2.868 0.082 Mn
2.919 0.000 0.000 Mn
2.857 2.927 8.671 Mn
4.296 1.494 6.510 Mn
4.316 -1.428 6.565 Mn
5.787 5.771 4.446 Mn
0.055 2.976 2.420 O
0.071 -0.062 2.391 O
0.107 5.770 2.438 O
1.263 1.435 4.384 O
1.269 4.346 4.504 O
1.300 -1.399 4.440 O
1.484 1.502 8.737 O
1.485 4.393 8.683 O
1.532 -1.392 8.744 O
2.767 5.780 2.228 O
2.830 2.981 2.238 O
2.846 -0.060 1.957 O
2.918 5.855 6.796 O
2.934 2.813 6.514 O
2.997 0.014 6.525 O
4.231 7.187 0.009 O
4.278 1.402 0.070 O
4.280 4.293 0.015 O
4.464 7.193 4.312 O
4.495 1.448 4.248 O
4.501 4.359 4.368 O
5.657 0.024 6.315 O
5.693 5.857 6.361 O
5.708 2.818 6.333 O
```

Most intense lines, 2θ from 10° to 80°, most intense first:
2θ (°)	I (rel.)
18.33	100
41.26	34
44.18	28
44.27	28
34.26	17
62.10	16
36.35	13
36.21	12
58.28	10
61.74	8

Entry 5:
Structure and computed X-ray diffraction stick pattern of Li9Mn2Co5O16 (the GGA+U geometry in the Materials Project; λ = 1.5418 Å (Cu Kα)).
Lines closer than 0.1° are merged.

Crystal structure
```
Li9Mn2Co5O16
1.0
5.198 0.000 0.000
0.000 5.761 0.000
-1.372 0.000 9.623
Li Mn Co O
9 2 5 16
Cartesian
0.000 0.000 0.000 Li
-0.679 1.411 4.947 Li
-0.679 4.350 4.947 Li
0.244 0.000 7.303 Li
0.296 2.880 7.333 Li
1.202 1.430 9.517 Li
1.202 4.331 9.517 Li
3.590 0.000 2.352 Li
3.612 2.880 2.395 Li
0.954 1.435 2.405 Mn
0.954 4.326 2.405 Mn
0.039 2.880 0.027 Co
1.906 2.880 4.909 Co
1.923 0.000 4.849 Co
2.925 1.417 7.315 Co
2.925 4.343 7.315 Co
-0.666 1.541 8.481 O
-0.666 4.220 8.481 O
0.139 0.000 3.430 O
0.236 2.880 3.544 O
1.763 0.000 1.378 O
1.811 2.880 1.430 O
1.189 1.391 5.933 O
1.189 4.370 5.933 O
2.529 1.391 3.655 O
2.529 4.370 3.655 O
2.083 0.000 8.342 O
2.079 2.880 8.412 O
3.566 2.880 6.050 O
3.686 0.000 6.091 O
4.631 1.523 1.267 O
4.631 4.238 1.267 O
```

Most intense lines, 2θ from 10° to 80°, most intense first:
2θ (°)	I (rel.)
18.37	100
44.22	51
42.10	30
36.35	25
34.99	16
62.80	14
62.59	14
58.26	9
47.37	9
37.60	7